Calculated powder diffractogram
Compound: Li4Mn2C4SO16
Radiation: Cu Kα
Structure: a structure optimized by DFT (GGA+U)
Intensities are scaled so that the largest is 100.

Peak list (10 most intense, 2θ = 10–90°, sorted by position)
Position (°2θ), Rel. int.
11.41, 100
18.33, 30
18.73, 29
21.44, 72
21.84, 78
22.53, 63
26.38, 38
33.70, 32
34.50, 35
39.19, 44

Atomic structure:
```
data_Li4Mn2C4SO16
_chemical_formula_sum 'Li32 Mn16 C32 S8 O128'
_cell_length_a 12.9686
_cell_length_b 13.5164
_cell_length_c 13.8709
_cell_angle_alpha 90.00
_cell_angle_beta 90.00
_cell_angle_gamma 90.00
_symmetry_space_group_name_H-M 'F d d d'
_symmetry_Int_Tables_number 70
loop_
_symmetry_equiv_pos_as_xyz
'x,y,z'
'-x,-y,-z'
'-x+1/4,-y+1/4,z'
'x+1/4,y+1/4,-z'
'x,-y+1/4,-z+1/4'
'-x,y+1/4,z+1/4'
'-x+1/4,y,-z+1/4'
'x+1/4,-y,z+1/4'
'x,y+1/2,z+1/2'
'-x,-y+1/2,-z+1/2'
'-x+1/4,-y+3/4,z+1/2'
'x+1/4,y+3/4,-z+1/2'
'x,-y+3/4,-z+3/4'
'-x,y+3/4,z+3/4'
'-x+1/4,y+1/2,-z+3/4'
'x+1/4,-y+1/2,z+3/4'
'x+1/2,y,z+1/2'
'-x+1/2,-y,-z+1/2'
'-x+3/4,-y+1/4,z+1/2'
'x+3/4,y+1/4,-z+1/2'
'x+1/2,-y+1/4,-z+3/4'
'-x+1/2,y+1/4,z+3/4'
'-x+3/4,y,-z+3/4'
'x+3/4,-y,z+3/4'
'x+1/2,y+1/2,z'
'-x+1/2,-y+1/2,-z'
'-x+3/4,-y+3/4,z'
'x+3/4,y+3/4,-z'
'x+1/2,-y+3/4,-z+1/4'
'-x+1/2,y+3/4,z+1/4'
'-x+3/4,y+1/2,-z+1/4'
'x+3/4,-y+1/2,z+1/4'
loop_
_atom_site_label
_atom_site_type_symbol
_atom_site_fract_x
_atom_site_fract_y
_atom_site_fract_z
Li1 Li 0.0795 0.3750 0.3750
Li2 Li 0.1250 0.3243 0.1250
Mn1 Mn 0.0000 0.0000 0.5000
C1 C 0.0271 0.0252 0.7108
S1 S 0.1250 0.1250 0.1250
O1 O 0.0261 0.2833 0.6132
O2 O 0.0418 0.3417 0.9740
O3 O 0.0562 0.0594 0.0666
O4 O 0.1003 0.0148 0.7748
```

Calculated powder diffractogram
Compound: LiCrNiO4
Radiation: Cu Kα
Structure: a structure optimized by DFT (GGA+U)
Intensities are scaled so that the largest is 100.

Peak list (10 most intense, 2θ = 10–90°, sorted by position)
Position (°2θ), Rel. int.
18.50, 100
18.67, 69
35.87, 21
36.05, 28
36.15, 30
37.50, 10
43.79, 90
57.74, 15
58.05, 18
63.69, 36

Atomic structure:
```
data_LiCrNiO4
_chemical_formula_sum 'Li4 Cr4 Ni4 O16'
_cell_length_a 5.8097
_cell_length_b 5.8920
_cell_length_c 8.2580
_cell_angle_alpha 90.00
_cell_angle_beta 90.00
_cell_angle_gamma 90.00
_symmetry_space_group_name_H-M 'I m m a'
_symmetry_Int_Tables_number 74
_symmetry_space_group_name_Hall '-I 2b 2'
loop_
_atom_site_label
_atom_site_type_symbol
_atom_site_fract_x
_atom_site_fract_y
_atom_site_fract_z
Li1 Li 0.0000 0.2500 0.1206
Cr1 Cr 0.0000 0.0000 0.5000
Ni1 Ni 0.2500 0.2500 0.7500
O1 O 0.0000 0.0311 0.7382
O2 O 0.2232 0.2500 0.5115
```

Calculated powder diffractogram
Compound: Cr2CuO4
Radiation: Cu Kα
Structure: a structure optimized by DFT (GGA+U)
Intensities are scaled so that the largest is 100.

Peak list (10 most intense, 2θ = 10–90°, sorted by position)
Position (°2θ), Rel. int.
29.27, 22
30.44, 37
34.73, 100
36.72, 56
41.87, 14
52.64, 15
55.49, 36
60.71, 23
63.35, 42
73.10, 12

Atomic structure:
```
data_Cr2CuO4
_chemical_formula_sum 'Cr8 Cu4 O16'
_cell_length_a 6.0993
_cell_length_b 6.1045
_cell_length_c 8.0153
_cell_angle_alpha 90.00
_cell_angle_beta 90.00
_cell_angle_gamma 90.00
_symmetry_space_group_name_H-M 'I m m 2'
_symmetry_Int_Tables_number 44
_symmetry_space_group_name_Hall 'I 2 -2'
loop_
_atom_site_label
_atom_site_type_symbol
_atom_site_fract_x
_atom_site_fract_y
_atom_site_fract_z
Cr1 Cr 0.0000 0.2501 0.0000
Cr2 Cr 0.2501 0.0000 0.2500
Cu1 Cu 0.0000 0.0000 0.6312
Cu2 Cu 0.0000 0.5000 0.3794
O1 O 0.0000 0.2171 0.2492
O2 O 0.0000 0.2830 0.7481
O3 O 0.2170 0.0000 0.9980
O4 O 0.2175 0.5000 0.9993
```